Record 1
Computed XRD peak list of LiPuPdPb for CuKα, from a crystal structure in Alexandria, relaxed with PBE.
No peak broadening, texture or thermal motion is included.

Most intense lines, 15 to 90 degrees two-theta, by angle:
(1 1 1), 22.23 deg, 3.999 Å, I = 9
(2 0 0), 25.72 deg, 3.463 Å, I = 42
(2 2 0), 36.70 deg, 2.449 Å, I = 100
(2 2 2), 45.35 deg, 2.000 Å, I = 13
(4 0 0), 52.87 deg, 1.732 Å, I = 18
(4 2 0), 59.70 deg, 1.549 Å, I = 18
(4 2 2), 66.08 deg, 1.414 Å, I = 37
(4 4 0), 78.04 deg, 1.225 Å, I = 12
(6 0 0), 83.79 deg, 1.154 Å, I = 9
(6 2 0), 89.48 deg, 1.095 Å, I = 17

Cell and atoms:
abc: 6.927 6.927 6.927
angles: 90.00 90.00 90.00
Sites, in units of the cell vectors:
Li  0.000  0.000  0.000
Li  0.000  0.500  0.500
Li  0.500  0.000  0.500
Li  0.500  0.500  0.000
Pu  0.250  0.250  0.750
Pu  0.250  0.750  0.250
Pu  0.750  0.250  0.250
Pu  0.750  0.750  0.750
Pd  0.000  0.000  0.500
Pd  0.000  0.500  0.000
Pd  0.500  0.000  0.000
Pd  0.500  0.500  0.500
Pb  0.250  0.250  0.250
Pb  0.250  0.750  0.750
Pb  0.750  0.250  0.750
Pb  0.750  0.750  0.250

---

Record 2
Computed XRD peak list of Li2Pm3Pb3 for CuKα, from a crystal structure in Alexandria, relaxed with PBE.
No peak broadening, texture or thermal motion is included.

Most intense lines, 15 to 90 degrees two-theta, by angle:
(0 0 6), 27.40 deg, 3.255 Å, I = 35
(1 1 2), 28.69 deg, 3.112 Å, I = 50
(1 1 4), 32.88 deg, 2.724 Å, I = 100
(0 2 0), 37.16 deg, 2.419 Å, I = 24
(2 0 0), 40.37 deg, 2.234 Å, I = 19
(0 2 6), 46.78 deg, 1.942 Å, I = 17
(2 0 6), 49.48 deg, 1.842 Å, I = 14
(1 1 10), 54.68 deg, 1.679 Å, I = 24
(2 2 0), 56.03 deg, 1.641 Å, I = 15
(1 3 4), 64.29 deg, 1.449 Å, I = 15

Cell and atoms:
abc: 4.468 4.839 19.531
angles: 90.00 90.00 90.00
Sites, in units of the cell vectors:
Li  0.000  0.000  0.249
Li  0.000  0.000  0.751
Li  0.500  0.500  0.251
Li  0.500  0.500  0.749
Pm  0.000  0.000  0.000
Pm  0.000  0.500  0.138
Pm  0.000  0.500  0.862
Pm  0.500  0.000  0.362
Pm  0.500  0.000  0.638
Pm  0.500  0.500  0.500
Pb  0.000  0.000  0.500
Pb  0.000  0.500  0.343
Pb  0.000  0.500  0.657
Pb  0.500  0.000  0.157
Pb  0.500  0.000  0.843
Pb  0.500  0.500  0.000